Computed XRD peak list of Pu3GaSi2 for Cu Ka, from a structure optimized by DFT (PBE).
Intensities are scaled so that the largest is 1000.

Crystal structure
```
data_Pu3GaSi2
_symmetry_space_group_name_H-M 'P n m a'
_symmetry_Int_Tables_number 62
_symmetry_space_group_name_Hall '-P 2ac 2n'
_cell_length_a 11.863
_cell_length_b 4.187
_cell_length_c 9.399
_cell_angle_alpha 90.00
_cell_angle_beta 90.00
_cell_angle_gamma 90.00
loop_
_atom_site_label
_atom_site_type_symbol
_atom_site_fract_x
_atom_site_fract_y
_atom_site_fract_z
Pu1 Pu 0.050 0.250 0.094
Pu2 Pu 0.180 0.750 0.631
Pu3 Pu 0.248 0.250 0.775
Ga1 Ga 0.087 0.250 0.417
Si1 Si 0.005 0.250 0.695
Si2 Si 0.193 0.750 0.971
```

The 6 most intense peaks (10 to 90 degrees two-theta), most intense first:
| 2θ (°) | d_spacing | Rel. int. | index |
| --- | --- | --- | --- |
| 35.8 | 2.509 | 1000 | 0 1 3 |
| 36.6 | 2.453 | 903 | 3 1 2 |
| 24.4 | 3.642 | 589 | 3 0 1 |
| 37.1 | 2.420 | 486 | 4 1 0 |
| 24.2 | 3.684 | 396 | 2 0 2 |
| 43.2 | 2.094 | 395 | 0 2 0 |